# FeOF
Theoretical X-ray powder pattern, Cu Kα. Input: a crystal structure in the Materials Project, relaxed with GGA+U.

Structural model:
```
data_FeOF
_chemical_formula_sum 'Fe4 O4 F4'
_space_group_name_H-M_alt 'P 1 m 1'
_space_group_IT_number 6
_space_group_name_Hall 'P -2y'
_cell_length_a 4.784
_cell_length_b 3.081
_cell_length_c 9.552
_cell_angle_alpha 90.00
_cell_angle_beta 93.35
_cell_angle_gamma 90.00
loop_
_atom_site_label
_atom_site_type_symbol
_atom_site_fract_x
_atom_site_fract_y
_atom_site_fract_z
Fe1 Fe 0.000 0.000 0.000
Fe2 Fe 0.066 0.000 0.501
Fe3 Fe 0.537 0.500 0.751
Fe4 Fe 0.612 0.500 0.250
O1 O 0.349 0.000 0.648
O2 O 0.735 0.000 0.842
O3 O 0.763 0.000 0.353
O4 O 0.856 0.500 0.097
F1 F 0.236 0.500 0.909
F2 F 0.255 0.500 0.399
F3 F 0.361 0.000 0.155
F4 F 0.866 0.500 0.595
```

Most intense lines, 2θ from 10° to 90°, low angle first:
- (1 0 -2), 25.62°, intensity 100
- (1 0 2), 27.19°, intensity 91
- (0 1 2), 34.65°, intensity 100
- (1 1 -2), 39.06°, intensity 17
- (1 1 -4), 51.25°, intensity 61
- (1 1 4), 53.02°, intensity 49
- (0 2 0), 60.05°, intensity 18
- (0 1 6), 66.12°, intensity 38

# Li2Cr2H4O9
Theoretical X-ray powder pattern, Cu Kα. Input: a crystal structure in the Materials Project, relaxed with GGA+U.

Structural model:
```
data_Li2Cr2H4O9
_chemical_formula_sum 'Li8 Cr8 H16 O36'
_space_group_name_H-M_alt 'C 1 2/c 1'
_space_group_IT_number 15
_space_group_name_Hall '-C 2yc'
_cell_length_a 7.614
_cell_length_b 7.846
_cell_length_c 12.973
_cell_angle_alpha 90.00
_cell_angle_beta 96.36
_cell_angle_gamma 90.00
loop_
_atom_site_label
_atom_site_type_symbol
_atom_site_fract_x
_atom_site_fract_y
_atom_site_fract_z
Li1 Li 0.000 0.223 0.250
Li2 Li 0.250 0.250 0.500
Cr1 Cr 0.125 0.136 0.860
H1 H 0.001 0.420 0.099
H2 H 0.167 0.466 0.350
O1 O 0.000 0.035 0.750
O2 O 0.011 0.203 0.561
O3 O 0.099 0.368 0.370
O4 O 0.238 0.296 0.819
O5 O 0.240 0.494 0.583
```

Most intense lines, 2θ from 10° to 90°, low angle first:
- (1 1 0), 16.27°, intensity 56
- (1 1 -1), 17.16°, intensity 100
- (1 1 -2), 20.49°, intensity 71
- (0 2 1), 23.71°, intensity 97
- (2 0 -2), 25.95°, intensity 64
- (1 1 3), 27.44°, intensity 86
- (2 0 2), 28.65°, intensity 53
- (2 2 -1), 33.07°, intensity 57

# Rb2V3O8
Theoretical X-ray powder pattern, Cu Kα. Input: a crystal structure in the Materials Project, relaxed with GGA+U.

Structural model:
```
data_Rb2V3O8
_chemical_formula_sum 'Rb4 V6 O16'
_space_group_name_H-M_alt 'P 4 b m'
_space_group_IT_number 100
_space_group_name_Hall 'P 4 -2ab'
_cell_length_a 9.054
_cell_length_b 9.054
_cell_length_c 5.800
_cell_angle_alpha 90.00
_cell_angle_beta 90.00
_cell_angle_gamma 90.00
loop_
_atom_site_label
_atom_site_type_symbol
_atom_site_fract_x
_atom_site_fract_y
_atom_site_fract_z
Rb1 Rb 0.170 0.330 0.000
V1 V 0.000 0.000 0.533
V2 V 0.134 0.634 0.527
O1 O 0.000 0.000 0.250
O2 O 0.000 0.500 0.640
O3 O 0.085 0.807 0.634
O4 O 0.131 0.631 0.240
```

Most intense lines, 2θ from 10° to 90°, low angle first:
- (2 0 1), 24.95°, intensity 25
- (2 1 1), 26.85°, intensity 100
- (0 0 2), 30.83°, intensity 16
- (3 1 0), 31.24°, intensity 24
- (4 1 1), 44.10°, intensity 10
- (3 1 2), 44.47°, intensity 13
- (2 1 3), 52.45°, intensity 13
- (5 2 1), 57.03°, intensity 11